Theoretical X-ray diffraction stick pattern of Nd6DyEr3 for CuKα, from a crystal structure in Alexandria, relaxed with PBE.
Lines closer than 0.1° are merged.

The 8 most intense peaks (2θ = 10–80°), low angle first:
| index | two_theta | d (Å) | I_rel |
| --- | --- | --- | --- |
| 1 0 2 | 23.90 | 3.724 | 25 |
| 1 2 2 | 29.65 | 3.013 | 22 |
| 1 0 -4 | 30.64 | 2.918 | 40 |
| 1 3 -1 | 30.96 | 2.888 | 100 |
| 1 1 3 | 31.11 | 2.875 | 32 |
| 2 0 0 | 33.05 | 2.711 | 24 |
| 0 3 3 | 34.13 | 2.627 | 57 |
| 1 0 4 | 36.38 | 2.469 | 21 |

```
data_Nd6DyEr3
_chemical_formula_sum 'Nd12 Dy2 Er6'
_cell_length_a 5.526
_cell_length_b 10.289
_cell_length_c 12.479
_cell_angle_alpha 90.00
_cell_angle_beta 101.15
_cell_angle_gamma 90.00
_symmetry_space_group_name_H-M 'P 1 21/c 1'
_symmetry_Int_Tables_number 14
loop_
_symmetry_equiv_pos_as_xyz
'x,y,z'
'-x,-y,-z'
'-x,y+1/2,-z+1/2'
'x,-y+1/2,z+1/2'
loop_
_atom_site_label
_atom_site_fract_x
_atom_site_fract_y
_atom_site_fract_z
Nd1 0.007 0.184 0.004
Nd2 0.109 0.004 0.769
Nd3 0.420 0.172 0.354
Dy1 0.000 0.000 0.500
Er1 0.421 0.669 0.866
Er2 0.500 0.000 0.000
```